Structure and computed X-ray diffraction stick pattern of Pm7Tl3O2 (a DFT-relaxed cell (PBE, Alexandria); Cu Kα (λ = 1.5418 Å)).
Kinematic intensities with the Lorentz-polarization factor, no thermal factor.

Cell and atoms:
abc: 4.9869 25.1333 4.8357
angles: 90.00 90.00 90.00
Space group Cmmm (No. 65)
Symmetry-distinct sites (fractional):
Pm  0.0000  0.0000  0.0000
Pm  0.0000  0.0953  0.5000
Pm  0.0000  0.2006  0.0000
Pm  0.0000  0.3977  0.0000
Tl  0.0000  0.3072  0.5000
Tl  0.0000  0.5000  0.5000
O  0.0000  0.0999  0.0000

Largest 6 diffraction maxima, sorted by position, 5° ≤ 2θ ≤ 70°:
2θ (°)	I/Imax	index
31.31	100	1 5 1
35.72	18	0 10 0
36.02	19	2 0 0
37.19	17	0 0 2
61.84	15	3 5 1
63.40	14	1 5 3

Structure and computed X-ray diffraction stick pattern of Pm3TlO2 (a DFT-relaxed cell (PBE, Alexandria); Cu Kα (λ = 1.5418 Å)).
Kinematic intensities with the Lorentz-polarization factor, no thermal factor.

Cell and atoms:
abc: 3.9670 11.3744 6.6164
angles: 90.00 90.00 90.00
Space group Pmmn (No. 59, origin choice 2)
Symmetry-distinct sites (fractional):
Pm  0.2500  0.0358  0.2203
Pm  0.2500  0.2500  0.7713
Tl  0.2500  0.7500  0.6193
O  0.2500  0.0575  0.8727

Largest 6 diffraction maxima, sorted by position, 5° ≤ 2θ ≤ 70°:
2θ (°)	I/Imax	index
20.59	18	0 2 1
26.95	21	0 0 2
27.36	17	1 1 1
30.62	100	1 2 1
31.46	24	0 4 0
45.74	14	2 0 0

Structure and computed X-ray diffraction stick pattern of Pm6Tl3O (a DFT-relaxed cell (PBE, Alexandria); Cu Kα (λ = 1.5418 Å)).
Kinematic intensities with the Lorentz-polarization factor, no thermal factor.

Cell and atoms:
abc: 11.9236 17.6647 5.4263
angles: 90.00 90.00 90.00
Space group Cmc2_1 (No. 36)
Symmetry-distinct sites (fractional):
Pm  0.0000  0.0889  0.0000
Pm  0.0000  0.2322  0.4993
Pm  0.1681  0.4198  0.5000
Pm  0.1708  0.2768  0.0000
Tl  0.0000  0.4243  0.0000
Tl  0.1596  0.0750  0.5001
O  0.0000  0.2169  0.0028

Largest 6 diffraction maxima, sorted by position, 5° ≤ 2θ ≤ 70°:
2θ (°)	I/Imax	index
30.36	23	0 6 0
31.78	100	3 3 1
33.01	25	0 0 2
45.46	15	0 6 2
54.84	13	3 9 1
58.19	18	3 3 3